Record 1
Diffraction record for Mg5Ga2Ag5. The X-ray powder pattern is simulated, not measured: it uses a crystal structure in Alexandria, relaxed with GGA-PBE and Cu Kα.
Neutral-atom scattering factors, no anomalous dispersion.

Crystal structure
Cell: 13.043 3.877 9.945 Å, 90.00 118.51 90.00°
Space group C2/m (No. 12)
One atom of each set of equivalent atoms:
Mg (0.000, 0.000, 0.000) (multiplicity 2)
Mg (0.091, 0.000, 0.752) (multiplicity 4)
Mg (0.162, 0.000, 0.498) (multiplicity 4)
Ga (0.174, 0.500, 0.004) (multiplicity 4)
Ag (0.000, 0.500, 0.500) (multiplicity 2)
Ag (0.073, 0.500, 0.247) (multiplicity 4)
Ag (0.244, 0.000, 0.255) (multiplicity 4)

Principal peaks in the range 15° ≤ 2θ ≤ 90°, in order of rising 2θ:
22.24°, I 22, hkl 2 0 1
24.23°, I 33, hkl 1 1 0
26.91°, I 17, hkl 2 0 -3
36.74°, I 100, hkl 3 1 -3
37.82°, I 92, hkl 3 1 1
41.32°, I 36, hkl 0 0 4
41.59°, I 33, hkl 6 0 -2
46.86°, I 25, hkl 0 2 0
64.23°, I 18, hkl 0 2 4
64.43°, I 17, hkl 6 2 -2



Record 2
Diffraction record for Mg2Ga2Ag5. The X-ray powder pattern is simulated, not measured: it uses a crystal structure in Alexandria, relaxed with GGA-PBE and Cu Kα.
Neutral-atom scattering factors, no anomalous dispersion.

Crystal structure
Cell: 9.272 14.225 5.158 Å, 90.00 90.00 90.00°
Space group Imma (No. 74)
One atom of each set of equivalent atoms:
Mg (0.000, 0.132, 0.053) (multiplicity 8)
Ga (0.000, 0.000, 0.500) (multiplicity 4)
Ga (0.000, 0.250, 0.555) (multiplicity 4)
Ag (0.250, 0.047, 0.250) (multiplicity 8)
Ag (0.250, 0.151, 0.750) (multiplicity 8)
Ag (0.250, 0.250, 0.250) (multiplicity 4)

Principal peaks in the range 15° ≤ 2θ ≤ 90°, in order of rising 2θ:
19.14°, I 66, hkl 2 0 0
32.06°, I 21, hkl 1 4 1
34.78°, I 17, hkl 0 0 2
36.05°, I 55, hkl 0 5 1
38.85°, I 48, hkl 4 0 0
40.00°, I 81, hkl 2 0 2
41.13°, I 100, hkl 2 5 1
54.04°, I 33, hkl 4 5 1
71.89°, I 18, hkl 6 5 1
76.71°, I 23, hkl 4 5 3



Record 3
Diffraction record for Mg2Ga3Ag8. The X-ray powder pattern is simulated, not measured: it uses a crystal structure in Alexandria, relaxed with GGA-PBE and Cu Kα.
Neutral-atom scattering factors, no anomalous dispersion.

Crystal structure
Cell: 6.620 4.028 9.185 Å, 90.00 97.81 90.00°
Space group P2/m (No. 10)
One atom of each set of equivalent atoms:
Mg (0.244, 0.000, 0.066) (multiplicity 2)
Ga (0.203, 0.500, 0.580) (multiplicity 2)
Ga (0.500, 0.000, 0.500) (multiplicity 1)
Ag (0.057, 0.500, 0.858) (multiplicity 2)
Ag (0.092, 0.000, 0.363) (multiplicity 2)
Ag (0.342, 0.000, 0.780) (multiplicity 2)
Ag (0.376, 0.500, 0.287) (multiplicity 2)

Principal peaks in the range 15° ≤ 2θ ≤ 90°, in order of rising 2θ:
19.51°, I 19, hkl 0 0 2
27.11°, I 17, hkl 1 1 -1
37.72°, I 100, hkl 2 1 1
38.17°, I 100, hkl 1 1 -3
43.42°, I 32, hkl 3 0 -2
43.86°, I 33, hkl 1 0 4
45.01°, I 31, hkl 0 2 0
64.32°, I 19, hkl 3 2 -2
64.66°, I 20, hkl 1 2 4
77.10°, I 11, hkl 0 1 7



Record 4
Diffraction record for Mg14GaAg. The X-ray powder pattern is simulated, not measured: it uses a crystal structure in Alexandria, relaxed with GGA-PBE and Cu Kα.
Neutral-atom scattering factors, no anomalous dispersion.

Crystal structure
Cell: 10.220 6.393 10.704 Å, 90.00 90.00 90.00°
Space group Amm2 (No. 38)
One atom of each set of equivalent atoms:
Mg (0.000, 0.000, 0.000) (multiplicity 2)
Mg (0.000, 0.000, 0.500) (multiplicity 2)
Mg (0.000, 0.250, 0.252) (multiplicity 4)
Mg (0.250, 0.000, 0.175) (multiplicity 4)
Mg (0.251, 0.000, 0.676) (multiplicity 4)
Mg (0.263, 0.249, 0.923) (multiplicity 8)
Mg (0.500, 0.250, 0.102) (multiplicity 4)
Ga (0.500, 0.000, 0.343) (multiplicity 2)
Ag (0.500, 0.000, 0.846) (multiplicity 2)

Principal peaks in the range 15° ≤ 2θ ≤ 90°, in order of rising 2θ:
16.56°, I 21, hkl 0 0 2
18.72°, I 31, hkl 1 0 2
33.82°, I 64, hkl 1 2 2
34.65°, I 37, hkl 1 0 4
35.12°, I 51, hkl 4 0 0
37.19°, I 100, hkl 2 2 2
37.95°, I 34, hkl 2 0 4
42.29°, I 36, hkl 3 2 2
64.37°, I 21, hkl 6 2 2
70.84°, I 23, hkl 4 2 6



Record 5
Diffraction record for MgGa5Ag6. The X-ray powder pattern is simulated, not measured: it uses a crystal structure in Alexandria, relaxed with GGA-PBE and Cu Kα.
Neutral-atom scattering factors, no anomalous dispersion.

Crystal structure
Cell: 9.178 12.270 4.162 Å, 90.00 114.39 90.00°
Space group C2/m (No. 12)
One atom of each set of equivalent atoms:
Mg (0.000, 0.000, 0.000) (multiplicity 2)
Ga (0.000, 0.169, 0.500) (multiplicity 4)
Ga (0.000, 0.328, 0.000) (multiplicity 4)
Ga (0.000, 0.500, 0.500) (multiplicity 2)
Ag (0.248, 0.334, 0.749) (multiplicity 8)
Ag (0.249, 0.500, 0.253) (multiplicity 4)

Principal peaks in the range 15° ≤ 2θ ≤ 90°, in order of rising 2θ:
21.26°, I 15, hkl 2 0 0
37.04°, I 100, hkl 1 3 1
38.18°, I 92, hkl 3 3 -1
43.30°, I 32, hkl 4 0 0
43.54°, I 31, hkl 2 0 -2
44.29°, I 30, hkl 0 6 0
63.67°, I 19, hkl 4 6 0
63.85°, I 19, hkl 2 6 -2
74.57°, I 12, hkl 5 3 1
76.72°, I 22, hkl 7 3 -1



Record 6
Diffraction record for Mg6GaAg5. The X-ray powder pattern is simulated, not measured: it uses a crystal structure in Alexandria, relaxed with GGA-PBE and Cu Kα.
Neutral-atom scattering factors, no anomalous dispersion.

Crystal structure
Cell: 4.736 6.603 7.493 Å, 90.00 108.15 90.00°
Space group P2/m (No. 10)
One atom of each set of equivalent atoms:
Mg (0.000, 0.249, 0.000) (multiplicity 2)
Mg (0.333, 0.251, 0.665) (multiplicity 4)
Ga (0.500, 0.000, 0.000) (multiplicity 1)
Ag (0.165, 0.500, 0.329) (multiplicity 2)
Ag (0.168, 0.000, 0.337) (multiplicity 2)
Ag (0.500, 0.500, 0.000) (multiplicity 1)

Principal peaks in the range 15° ≤ 2θ ≤ 90°, in order of rising 2θ:
26.52°, I 25, hkl 1 0 1
26.65°, I 24, hkl 1 0 -2
27.01°, I 24, hkl 0 2 0
37.95°, I 51, hkl 2 0 -1
38.26°, I 100, hkl 1 2 1
47.20°, I 20, hkl 2 2 -1
54.62°, I 8, hkl 2 0 2
54.90°, I 8, hkl 2 0 -4
68.73°, I 8, hkl 3 2 0
69.37°, I 16, hkl 2 4 -1



Record 7
Diffraction record for Mg3Ga3Ag. The X-ray powder pattern is simulated, not measured: it uses a crystal structure in Alexandria, relaxed with GGA-PBE and Cu Kα.
Neutral-atom scattering factors, no anomalous dispersion.

Crystal structure
Cell: 7.403 12.414 6.692 Å, 90.00 97.30 90.00°
Space group C2/m (No. 12)
One atom of each set of equivalent atoms:
Mg (0.000, 0.118, 0.000) (multiplicity 4)
Mg (0.000, 0.222, 0.500) (multiplicity 4)
Mg (0.098, 0.500, 0.822) (multiplicity 4)
Ga (0.124, 0.000, 0.378) (multiplicity 4)
Ga (0.167, 0.301, 0.155) (multiplicity 8)
Ag (0.229, 0.000, 0.768) (multiplicity 4)

Principal peaks in the range 15° ≤ 2θ ≤ 90°, in order of rising 2θ:
18.29°, I 100, hkl 1 1 -1
28.77°, I 53, hkl 0 4 0
31.80°, I 28, hkl 1 1 2
32.69°, I 22, hkl 2 2 1
38.23°, I 46, hkl 3 1 -1
40.15°, I 61, hkl 1 5 -1
41.55°, I 50, hkl 2 2 2
41.75°, I 30, hkl 1 1 -3
42.93°, I 32, hkl 3 3 0
52.10°, I 27, hkl 4 2 -1



Record 8
Diffraction record for MgGa3Ag3. The X-ray powder pattern is simulated, not measured: it uses a crystal structure in Alexandria, relaxed with GGA-PBE and Cu Kα.
Neutral-atom scattering factors, no anomalous dispersion.

Crystal structure
Cell: 8.4624 8.4624 13.2304 Å, 90.00 90.00 120.00°
Space group R-3m (No. 166, hexagonal axes)
One atom of each set of equivalent atoms:
Mg (0.0000, 0.0000, 0.1376) (multiplicity 6)
Ga (0.1094, 0.5547, 0.3308) (multiplicity 18)
Ag (0.0000, 0.3317, 0.5000) (multiplicity 18)

Principal peaks in the range 15° ≤ 2θ ≤ 90°, in order of rising 2θ:
21.00°, I 30, hkl 1 1 0
29.25°, I 26, hkl 1 1 3
33.04°, I 19, hkl 2 1 1
36.79°, I 22, hkl 3 0 0
40.93°, I 27, hkl 0 0 6
42.29°, I 100, hkl 0 3 3
66.27°, I 19, hkl 3 3 0
75.48°, I 15, hkl 0 3 9
80.91°, I 21, hkl 3 3 6
81.83°, I 14, hkl 6 0 3



Record 9
Diffraction record for Mg4Ga3Ag2. The X-ray powder pattern is simulated, not measured: it uses a crystal structure in Alexandria, relaxed with GGA-PBE and Cu Kα.
Neutral-atom scattering factors, no anomalous dispersion.

Crystal structure
Cell: 8.422 4.627 8.846 Å, 90.00 96.03 90.00°
Space group C2/m (No. 12)
One atom of each set of equivalent atoms:
Mg (0.007, 0.000, 0.326) (multiplicity 4)
Mg (0.165, 0.500, 0.886) (multiplicity 4)
Ga (0.000, 0.000, 0.000) (multiplicity 2)
Ga (0.163, 0.500, 0.532) (multiplicity 4)
Ag (0.171, 0.500, 0.212) (multiplicity 4)

Principal peaks in the range 15° ≤ 2θ ≤ 90°, in order of rising 2θ:
22.54°, I 25, hkl 2 0 -1
24.66°, I 47, hkl 1 1 1
36.92°, I 99, hkl 1 1 -3
37.63°, I 100, hkl 3 1 0
38.93°, I 46, hkl 0 2 0
39.32°, I 41, hkl 2 0 3
50.85°, I 19, hkl 4 0 -3
56.52°, I 27, hkl 2 2 3
65.84°, I 17, hkl 4 2 -3
69.22°, I 26, hkl 1 3 -3



Record 10
Diffraction record for MgGaAgPd. The X-ray powder pattern is simulated, not measured: it uses a crystal structure in Alexandria, relaxed with GGA-PBE and Cu Kα.
Neutral-atom scattering factors, no anomalous dispersion.

Crystal structure
Cell: 6.393 6.393 6.393 Å, 90.00 90.00 90.00°
Space group F-43m (No. 216)
One atom of each set of equivalent atoms:
Mg (0.000, 0.000, 0.000) (multiplicity 4)
Ga (0.000, 0.000, 0.500) (multiplicity 4)
Ag (0.250, 0.250, 0.250) (multiplicity 4)
Pd (0.250, 0.250, 0.750) (multiplicity 4)

Principal peaks in the range 15° ≤ 2θ ≤ 90°, in order of rising 2θ:
24.11°, I 6, hkl 1 1 1
27.91°, I 19, hkl 2 0 0
39.89°, I 100, hkl 2 2 0
47.15°, I 3, hkl 3 1 1
49.39°, I 5, hkl 2 2 2
57.68°, I 16, hkl 4 0 0
63.43°, I 1, hkl 3 3 1
65.28°, I 6, hkl 4 2 0
72.43°, I 32, hkl 4 2 2
86.03°, I 10, hkl 4 4 0



Record 11
Diffraction record for PrMg2Ga2Ag2. The X-ray powder pattern is simulated, not measured: it uses a crystal structure in Alexandria, relaxed with GGA-PBE and Cu Kα.
Neutral-atom scattering factors, no anomalous dispersion.

Crystal structure
Cell: 4.5447 4.5447 24.6673 Å, 90.00 90.00 120.00°
Space group R-3m (No. 166, hexagonal axes)
One atom of each set of equivalent atoms:
Pr (0.0000, 0.0000, 0.0000) (multiplicity 3)
Mg (0.0000, 0.0000, 0.1379) (multiplicity 6)
Ga (0.0000, 0.0000, 0.2593) (multiplicity 6)
Ag (0.0000, 0.0000, 0.4320) (multiplicity 6)

Principal peaks in the range 15° ≤ 2θ ≤ 90°, in order of rising 2θ:
23.73°, I 21, hkl 0 1 2
26.87°, I 35, hkl 1 0 4
29.02°, I 28, hkl 0 1 5
34.15°, I 100, hkl 1 0 7
39.66°, I 94, hkl 1 1 0
53.32°, I 27, hkl 0 2 7
60.76°, I 16, hkl 1 1 12
68.46°, I 25, hkl 2 1 7
71.97°, I 20, hkl 3 0 0
85.44°, I 15, hkl 2 2 0



Record 12
Diffraction record for SrMg2Ga4Ag. The X-ray powder pattern is simulated, not measured: it uses a crystal structure in Alexandria, relaxed with GGA-PBE and Cu Kα.
Neutral-atom scattering factors, no anomalous dispersion.

Crystal structure
Cell: 4.6757 4.6757 28.0374 Å, 90.00 90.00 120.00°
Space group R-3m (No. 166, hexagonal axes)
One atom of each set of equivalent atoms:
Sr (0.0000, 0.0000, 0.0000) (multiplicity 3)
Mg (0.0000, 0.0000, 0.2350) (multiplicity 6)
Ga (0.0000, 0.0000, 0.1250) (multiplicity 6)
Ga (0.0000, 0.0000, 0.4007) (multiplicity 6)
Ag (0.0000, 0.0000, 0.5000) (multiplicity 3)

Principal peaks in the range 15° ≤ 2θ ≤ 90°, in order of rising 2θ:
22.86°, I 49, hkl 0 1 2
33.83°, I 86, hkl 0 1 8
38.51°, I 100, hkl 1 1 0
39.08°, I 32, hkl 1 0 10
41.88°, I 22, hkl 0 1 11
52.17°, I 24, hkl 2 0 8
66.69°, I 22, hkl 1 2 8
69.66°, I 16, hkl 3 0 0
70.04°, I 11, hkl 2 1 10
82.53°, I 12, hkl 2 2 0



Copy entry 3 word for word.
Diffraction record for Mg2Ga3Ag8. The X-ray powder pattern is simulated, not measured: it uses a crystal structure in Alexandria, relaxed with GGA-PBE and Cu Kα.
Neutral-atom scattering factors, no anomalous dispersion.

Crystal structure
Cell: 6.620 4.028 9.185 Å, 90.00 97.81 90.00°
Space group P2/m (No. 10)
One atom of each set of equivalent atoms:
Mg (0.244, 0.000, 0.066) (multiplicity 2)
Ga (0.203, 0.500, 0.580) (multiplicity 2)
Ga (0.500, 0.000, 0.500) (multiplicity 1)
Ag (0.057, 0.500, 0.858) (multiplicity 2)
Ag (0.092, 0.000, 0.363) (multiplicity 2)
Ag (0.342, 0.000, 0.780) (multiplicity 2)
Ag (0.376, 0.500, 0.287) (multiplicity 2)

Principal peaks in the range 15° ≤ 2θ ≤ 90°, in order of rising 2θ:
19.51°, I 19, hkl 0 0 2
27.11°, I 17, hkl 1 1 -1
37.72°, I 100, hkl 2 1 1
38.17°, I 100, hkl 1 1 -3
43.42°, I 32, hkl 3 0 -2
43.86°, I 33, hkl 1 0 4
45.01°, I 31, hkl 0 2 0
64.32°, I 19, hkl 3 2 -2
64.66°, I 20, hkl 1 2 4
77.10°, I 11, hkl 0 1 7



Which formula does entry 1 have?
Mg5Ga2Ag5